Diffraction record for VSe2O5. The PXRD pattern is computed, not measured: it uses a GGA+U-relaxed structure and Cu Kα (λ = 1.5418 Å).
Lines closer than 0.1° are merged.

Most intense lines, 15° ≤ 2θ ≤ 90°, by angle:
20.71°, intensity 34, (1 1 1); 25.27°, intensity 100, (1 2 1); 28.07°, intensity 35, (1 3 0); 30.49°, intensity 68, (2 1 1); 31.07°, intensity 20, (1 0 2); 32.20°, intensity 19, (1 1 2); 52.15°, intensity 29, (2 5 1); 55.46°, intensity 18, (3 3 2)

Cell and atoms:
a = 6.9593 Å, b = 10.7192 Å, c = 6.3223 Å
α = 90.00°, β = 90.00°, γ = 90.00°
Atoms (fractional coordinates):
V: 0.0000 0.0635 0.2500
V: 0.0000 0.9365 0.7500
V: 0.5000 0.4365 0.7500
V: 0.5000 0.5635 0.2500
Se: 0.1337 0.3450 0.0361
Se: 0.1337 0.6550 0.5361
Se: 0.3663 0.1550 0.5361
Se: 0.3663 0.8450 0.0361
Se: 0.6337 0.1550 0.9639
Se: 0.6337 0.8450 0.4639
Se: 0.8663 0.3450 0.4639
Se: 0.8663 0.6550 0.9639
O: 0.0000 0.4294 0.2500
O: 0.0000 0.5706 0.7500
O: 0.1571 0.0696 0.5502
O: 0.1571 0.9304 0.0502
O: 0.1956 0.2097 0.1584
O: 0.1956 0.7903 0.6584
O: 0.3044 0.2903 0.6584
O: 0.3044 0.7097 0.1584
O: 0.3429 0.4304 0.0502
O: 0.3429 0.5696 0.5502
O: 0.5000 0.0706 0.7500
O: 0.5000 0.9294 0.2500
O: 0.6571 0.4304 0.4498
O: 0.6571 0.5696 0.9498
O: 0.6956 0.2903 0.8416
O: 0.6956 0.7097 0.3416
O: 0.8044 0.2097 0.3416
O: 0.8044 0.7903 0.8416
O: 0.8429 0.0696 0.9498
O: 0.8429 0.9304 0.4498